Entry 1:
Diffraction record for TcTe. The powder XRD pattern is theoretical, not measured: it uses the GGA-PBE geometry in Alexandria and Cu Ka.

```
data_TcTe
_cell_length_a 3.1924
_cell_length_b 3.9749
_cell_length_c 7.7474
_cell_angle_alpha 89.20
_cell_angle_beta 89.11
_cell_angle_gamma 76.66
_space_group_name_H-M_alt 'P 1'
_space_group_IT_number 1
_space_group_name_Hall 'P 1'
loop_
_atom_site_label
_atom_site_type_symbol
_atom_site_fract_x
_atom_site_fract_y
_atom_site_fract_z
Tc1 Tc 0.0000 0.0000 0.0000
Tc2 Tc 0.4957 0.4971 0.1429
Te1 Te 0.1571 0.0818 0.3487
Te2 Te 0.6743 0.5938 0.7942
```

Principal peaks in the range 2θ = 10–80°, low angle first:
2θ 11.42, I 1000, (0 0 1)
2θ 25.64, I 245, (0 1 1)
2θ 32.55, I 609, (1 1 0)
2θ 41.26, I 407, (1 -1 0)
2θ 41.86, I 329, (0 1 3)
2θ 42.29, I 306, (0 1 -3)


Entry 2:
Diffraction record for SiSnPd5. The powder XRD pattern is theoretical, not measured: it uses the GGA-PBE geometry in Alexandria and Cu Ka.

```
data_SiSnPd5
_cell_length_a 4.0123
_cell_length_b 4.0123
_cell_length_c 6.9922
_cell_angle_alpha 90.00
_cell_angle_beta 90.00
_cell_angle_gamma 90.00
_space_group_name_H-M_alt 'P 4/m m m'
_space_group_IT_number 123
_space_group_name_Hall '-P 4 2'
loop_
_atom_site_label
_atom_site_type_symbol
_atom_site_fract_x
_atom_site_fract_y
_atom_site_fract_z
Si1 Si 0.0000 0.0000 0.0000
Sn1 Sn 0.5000 0.5000 0.5000
Pd1 Pd 0.0000 0.0000 0.5000
Pd2 Pd 0.0000 0.5000 0.2043
```

Principal peaks in the range 2θ = 10–80°, low angle first:
2θ 34.10, I 453, (1 1 1)
2θ 38.63, I 215, (0 0 3)
2θ 40.97, I 1000, (1 1 2)
2θ 45.20, I 465, (2 0 0)
2θ 60.93, I 224, (2 0 3)
2θ 75.85, I 165, (1 1 5)


Entry 3:
Diffraction record for Mn4CuPd7. The powder XRD pattern is theoretical, not measured: it uses the GGA-PBE geometry in Alexandria and Cu Ka.

```
data_Mn4CuPd7
_cell_length_a 12.8322
_cell_length_b 4.6823
_cell_length_c 7.5293
_cell_angle_alpha 90.00
_cell_angle_beta 121.58
_cell_angle_gamma 90.00
_space_group_name_H-M_alt 'C 1 2/m 1'
_space_group_IT_number 12
_space_group_name_Hall '-C 2y'
loop_
_atom_site_label
_atom_site_type_symbol
_atom_site_fract_x
_atom_site_fract_y
_atom_site_fract_z
Mn1 Mn 0.0710 0.0000 0.2334
Mn2 Mn 0.1869 0.0000 0.8653
Cu1 Cu 0.0000 0.5000 0.5000
Pd1 Pd 0.0000 0.0000 0.5000
Pd2 Pd 0.0689 0.5000 0.9092
Pd3 Pd 0.2039 0.5000 0.3623
Pd4 Pd 0.2242 0.5000 0.7469
```

Principal peaks in the range 2θ = 10–80°, low angle first:
2θ 37.45, I 286, (4 0 -3)
2θ 38.45, I 915, (0 2 0)
2θ 39.30, I 710, (2 0 2)
2θ 40.61, I 479, (5 1 -2)
2θ 40.84, I 1000, (5 1 -1)
2θ 56.17, I 291, (2 2 2)


Entry 4:
Diffraction record for HfMoS2N. The powder XRD pattern is theoretical, not measured: it uses the GGA-PBE geometry in Alexandria and Cu Ka.

```
data_HfMoS2N
_cell_length_a 4.7984
_cell_length_b 4.7984
_cell_length_c 3.7393
_cell_angle_alpha 90.00
_cell_angle_beta 90.00
_cell_angle_gamma 90.00
_space_group_name_H-M_alt 'P 4/m m m'
_space_group_IT_number 123
_space_group_name_Hall '-P 4 2'
loop_
_atom_site_label
_atom_site_type_symbol
_atom_site_fract_x
_atom_site_fract_y
_atom_site_fract_z
Hf1 Hf 0.0000 0.0000 0.0000
Mo1 Mo 0.5000 0.5000 0.5000
S1 S 0.0000 0.5000 0.5000
N1 N 0.5000 0.5000 0.0000
```

Principal peaks in the range 2θ = 10–80°, low angle first:
2θ 26.27, I 515, (1 1 0)
2θ 30.30, I 1000, (1 0 1)
2θ 35.73, I 235, (1 1 1)
2θ 37.49, I 520, (2 0 0)
2θ 48.94, I 536, (2 1 1)
2θ 63.03, I 216, (2 0 2)


Entry 5:
Diffraction record for Na5AgHg2. The powder XRD pattern is theoretical, not measured: it uses the GGA-PBE geometry in Alexandria and Cu Ka.

```
data_Na5AgHg2
_cell_length_a 5.2275
_cell_length_b 5.2275
_cell_length_c 19.9342
_cell_angle_alpha 90.00
_cell_angle_beta 90.00
_cell_angle_gamma 120.00
_space_group_name_H-M_alt 'P 63/m m c'
_space_group_IT_number 194
_space_group_name_Hall '-P 6c 2c'
loop_
_atom_site_label
_atom_site_type_symbol
_atom_site_fract_x
_atom_site_fract_y
_atom_site_fract_z
Na1 Na 0.0000 0.0000 0.1589
Na2 Na 0.3333 0.6667 0.0490
Na3 Na 0.3333 0.6667 0.2500
Ag1 Ag 0.3333 0.6667 0.7500
Hg1 Hg 0.3333 0.6667 0.6089
```

Principal peaks in the range 2θ = 10–80°, low angle first:
2θ 19.61, I 396, (1 0 0)
2θ 20.11, I 1000, (1 0 1)
2θ 23.78, I 320, (1 0 3)
2θ 34.31, I 682, (1 1 0)
2θ 37.30, I 564, (1 0 7)
2θ 63.42, I 238, (2 1 7)


Entry 6:
Diffraction record for Pu3PaSi4. The powder XRD pattern is theoretical, not measured: it uses the GGA-PBE geometry in Alexandria and Cu Ka.

```
data_Pu3PaSi4
_cell_length_a 3.2066
_cell_length_b 6.1804
_cell_length_c 17.5401
_cell_angle_alpha 90.00
_cell_angle_beta 90.00
_cell_angle_gamma 90.00
_space_group_name_H-M_alt 'I m m m'
_space_group_IT_number 71
_space_group_name_Hall '-I 2 2'
loop_
_atom_site_label
_atom_site_type_symbol
_atom_site_fract_x
_atom_site_fract_y
_atom_site_fract_z
Pu1 Pu 0.0000 0.0000 0.0000
Pu2 Pu 0.0000 0.5000 0.2139
Pa1 Pa 0.0000 0.0000 0.5000
Si1 Si 0.0000 0.3064 0.3716
```

Principal peaks in the range 2θ = 10–80°, low angle first:
2θ 20.25, I 415, (0 0 4)
2θ 28.89, I 319, (0 2 0)
2θ 33.09, I 1000, (1 1 2)
2θ 35.54, I 371, (0 2 4)
2θ 44.42, I 177, (1 1 6)
2θ 53.92, I 256, (1 3 2)


Entry 7:
Diffraction record for Rb4U3SbTe8. The powder XRD pattern is theoretical, not measured: it uses the GGA-PBE geometry in Alexandria and Cu Ka.

```
data_Rb4U3SbTe8
_cell_length_a 15.8099
_cell_length_b 9.1473
_cell_length_c 10.0692
_cell_angle_alpha 90.00
_cell_angle_beta 121.46
_cell_angle_gamma 90.00
_space_group_name_H-M_alt 'C 1 2/m 1'
_space_group_IT_number 12
_space_group_name_Hall '-C 2y'
loop_
_atom_site_label
_atom_site_type_symbol
_atom_site_fract_x
_atom_site_fract_y
_atom_site_fract_z
Rb1 Rb 0.0000 0.0000 0.0000
Rb2 Rb 0.0000 0.5000 0.0000
Rb3 Rb 0.2500 0.2500 0.0000
U1 U 0.0000 0.0000 0.5000
U2 U 0.2500 0.2500 0.5000
Sb1 Sb 0.0000 0.5000 0.5000
Te1 Te 0.0164 0.2500 0.2995
Te2 Te 0.2345 0.0000 0.7029
Te3 Te 0.2335 0.5000 0.7008
```

Principal peaks in the range 2θ = 10–80°, low angle first:
2θ 10.30, I 366, (0 0 1)
2θ 26.44, I 1000, (4 0 0)
2θ 33.24, I 159, (2 2 -3)
2θ 35.95, I 352, (2 2 2)
2θ 39.45, I 374, (0 4 0)
2θ 63.90, I 168, (10 2 -2)


Entry 8:
Diffraction record for PrSiHRu. The powder XRD pattern is theoretical, not measured: it uses the GGA-PBE geometry in Alexandria and Cu Ka.

```
data_PrSiHRu
_cell_length_a 4.1829
_cell_length_b 4.1829
_cell_length_c 7.5514
_cell_angle_alpha 90.00
_cell_angle_beta 90.00
_cell_angle_gamma 90.00
_space_group_name_H-M_alt 'P 4/n m m'
_space_group_IT_number 129
loop_
_space_group_symop_operation_xyz
'x,y,z'
'-x,-y,-z'
'-y+1/2,x,z'
'y+1/2,-x,-z'
'-x+1/2,-y+1/2,z'
'x+1/2,y+1/2,-z'
'y,-x+1/2,z'
'-y,x+1/2,-z'
'x+1/2,-y,-z'
'-x+1/2,y,z'
'-y,-x,-z'
'y,x,z'
'-x,y+1/2,-z'
'x,-y+1/2,z'
'y+1/2,x+1/2,-z'
'-y+1/2,-x+1/2,z'
loop_
_atom_site_label
_atom_site_type_symbol
_atom_site_fract_x
_atom_site_fract_y
_atom_site_fract_z
Pr1 Pr 0.2500 0.2500 0.1667
Si1 Si 0.2500 0.2500 0.6503
H1 H 0.2500 0.7500 0.0000
Ru1 Ru 0.2500 0.7500 0.5000
```

Principal peaks in the range 2θ = 10–80°, low angle first:
2θ 24.33, I 839, (1 0 1)
2θ 31.93, I 975, (1 0 2)
2θ 32.51, I 1000, (1 1 1)
2θ 38.67, I 869, (1 1 2)
2θ 43.26, I 700, (2 0 0)
2θ 54.76, I 415, (2 1 2)


Entry 9:
Diffraction record for BaP3Pt6. The powder XRD pattern is theoretical, not measured: it uses the GGA-PBE geometry in Alexandria and Cu Ka.

```
data_BaP3Pt6
_cell_length_a 6.3965
_cell_length_b 6.4013
_cell_length_c 6.4171
_cell_angle_alpha 60.65
_cell_angle_beta 60.53
_cell_angle_gamma 60.48
_space_group_name_H-M_alt 'P 1'
_space_group_IT_number 1
_space_group_name_Hall 'P 1'
loop_
_atom_site_label
_atom_site_type_symbol
_atom_site_fract_x
_atom_site_fract_y
_atom_site_fract_z
Ba1 Ba 0.0000 0.0000 0.0000
P1 P 0.1985 0.1927 0.1985
P2 P 0.4391 0.4340 0.4392
P3 P 0.7111 0.7099 0.7149
Pt1 Pt 0.0210 0.4348 0.4842
Pt2 Pt 0.1142 0.5498 0.7924
Pt3 Pt 0.4344 0.4807 0.0232
Pt4 Pt 0.4837 0.0188 0.4375
Pt5 Pt 0.5521 0.7889 0.1145
Pt6 Pt 0.7959 0.1088 0.5508
```

Principal peaks in the range 2θ = 10–80°, low angle first:
2θ 27.60, I 790, (1 0 -1)
2θ 32.50, I 797, (1 1 -1)
2θ 32.62, I 970, (-1 1 1)
2θ 34.10, I 551, (0 2 0)
2θ 34.44, I 1000, (2 2 2)
2θ 39.64, I 746, (2 0 2)


Entry 10:
Diffraction record for Pr12Ho3Mg. The powder XRD pattern is theoretical, not measured: it uses the GGA-PBE geometry in Alexandria and Cu Ka.

```
data_Pr12Ho3Mg
_cell_length_a 5.1527
_cell_length_b 5.1527
_cell_length_c 20.7073
_cell_angle_alpha 90.00
_cell_angle_beta 90.00
_cell_angle_gamma 90.00
_space_group_name_H-M_alt 'P 4/m m m'
_space_group_IT_number 123
_space_group_name_Hall '-P 4 2'
loop_
_atom_site_label
_atom_site_type_symbol
_atom_site_fract_x
_atom_site_fract_y
_atom_site_fract_z
Pr1 Pr 0.0000 0.0000 0.0000
Pr2 Pr 0.0000 0.0000 0.2475
Pr3 Pr 0.0000 0.0000 0.5000
Pr4 Pr 0.0000 0.5000 0.1233
Pr5 Pr 0.0000 0.5000 0.3741
Ho1 Ho 0.5000 0.5000 0.2482
Ho2 Ho 0.5000 0.5000 0.5000
Mg1 Mg 0.5000 0.5000 0.0000
```

Principal peaks in the range 2θ = 10–80°, low angle first:
2θ 29.99, I 1000, (1 1 4)
2θ 34.66, I 170, (0 0 8)
2θ 34.82, I 337, (2 0 0)
2θ 49.95, I 241, (2 0 8)
2θ 59.25, I 143, (1 1 12)
2θ 59.47, I 287, (3 1 4)


Entry 11:
Diffraction record for CuIrS2. The powder XRD pattern is theoretical, not measured: it uses the GGA-PBE geometry in Alexandria and Cu Ka.

```
data_CuIrS2
_cell_length_a 7.2891
_cell_length_b 6.2131
_cell_length_c 6.2895
_cell_angle_alpha 90.00
_cell_angle_beta 117.85
_cell_angle_gamma 90.00
_space_group_name_H-M_alt 'C 1 c 1'
_space_group_IT_number 9
_space_group_name_Hall 'C -2yc'
loop_
_atom_site_label
_atom_site_type_symbol
_atom_site_fract_x
_atom_site_fract_y
_atom_site_fract_z
Cu1 Cu 0.0000 0.0668 0.0000
Ir1 Ir 0.4992 0.1499 0.9996
S1 S 0.1786 0.3502 0.9294
S2 S 0.3199 0.1500 0.5696
```

Principal peaks in the range 2θ = 10–80°, low angle first:
2θ 21.07, I 839, (1 1 -1)
2θ 27.68, I 655, (2 0 0)
2θ 32.19, I 872, (0 0 2)
2θ 33.03, I 544, (0 2 1)
2θ 38.20, I 1000, (2 2 -1)
2θ 52.96, I 530, (2 2 -3)